For KGdB4H16, the PBE geometry in the Materials Project gives the calculated X-ray diffraction stick pattern in this record (Cu Kα (λ = 1.5418 Å)).
Neutral-atom scattering factors, no anomalous dispersion.

Crystal structure
```
data_KGdB4H16
_chemical_formula_sum 'K2 Gd2 B8 H32'
_cell_length_a 7.7696
_cell_length_b 8.2527
_cell_length_c 7.7559
_cell_angle_alpha 90.00
_cell_angle_beta 101.66
_cell_angle_gamma 90.00
_symmetry_space_group_name_H-M 'P 1 21/c 1'
_symmetry_Int_Tables_number 14
_symmetry_space_group_name_Hall '-P 2ybc'
loop_
_atom_site_label
_atom_site_type_symbol
_atom_site_fract_x
_atom_site_fract_y
_atom_site_fract_z
_atom_site_occupancy
K1 K 0.0000 0.0000 0.0000 1
Gd1 Gd 0.5000 0.0000 0.5000 1
B1 B 0.1722 0.1207 0.4016 1
B2 B 0.3862 0.7272 0.3110 1
H1 H 0.0825 0.0031 0.3505 1
H2 H 0.0843 0.2429 0.3875 1
H3 H 0.2390 0.7439 0.7323 1
H4 H 0.2426 0.0999 0.5583 1
H5 H 0.2871 0.1414 0.3132 1
H6 H 0.3926 0.7340 0.4723 1
H7 H 0.4365 0.5887 0.2842 1
H8 H 0.4933 0.6751 0.7721 1
```

The 12 most intense peaks (2θ from 10° to 80°), by angle:
two_theta  d [Å]  intensity  h k l
11.63  7.609  52  1 0 0
15.86  5.589  59  0 1 1
18.24  4.863  100  1 1 -1
21.08  4.215  61  1 1 1
21.54  4.126  26  0 2 0
23.40  3.801  50  2 0 0
32.01  2.796  53  0 2 2
35.88  2.503  27  1 3 -1
36.69  2.450  47  1 1 -3
37.49  2.399  17  1 3 1
41.24  2.189  26  3 1 1
48.53  1.876  14  3 3 -1